No. 1
Theoretical PXRD pattern of CoH8Se2Cl2O8 for Cu Ka, from a cell relaxed with GGA+U.
No peak broadening, texture or thermal motion is included.

The 10 most intense peaks (2θ from 10° to 80°), in order of rising 2θ:
- 2θ = 18.03°, I = 72
- 2θ = 19.30°, I = 100
- 2θ = 19.95°, I = 38
- 2θ = 21.82°, I = 49
- 2θ = 22.81°, I = 45
- 2θ = 23.70°, I = 41
- 2θ = 25.50°, I = 50
- 2θ = 27.80°, I = 36
- 2θ = 38.25°, I = 33
- 2θ = 43.34°, I = 50

Crystal structure
Lattice parameters (Å, degrees): 5.1997 18.0690 7.2385 90.00 100.41 90.00
Positions (direct):
Co 0.0000 0.0000 0.0000
Co 0.0000 0.5000 0.5000
H 0.1376 0.1506 0.7098
H 0.1376 0.3494 0.2098
H 0.2223 0.1179 0.1352
H 0.2223 0.3821 0.6352
H 0.2461 0.5418 0.1478
H 0.2461 0.9582 0.6478
H 0.4707 0.0775 0.0665
H 0.4707 0.4225 0.5665
H 0.5293 0.5775 0.4335
H 0.5293 0.9225 0.9335
H 0.7539 0.0418 0.3522
H 0.7539 0.4582 0.8522
H 0.7777 0.6179 0.3648
H 0.7777 0.8821 0.8648
H 0.8624 0.6506 0.7902
H 0.8624 0.8494 0.2902
Se 0.3504 0.1943 0.6395
Se 0.3504 0.3057 0.1395
Se 0.6496 0.6943 0.8605
Se 0.6496 0.8057 0.3605
Cl 0.4198 0.5850 0.8583
Cl 0.4198 0.9150 0.3583
Cl 0.5802 0.0850 0.6417
Cl 0.5802 0.4150 0.1417
O 0.1061 0.5612 0.2087
O 0.1061 0.9388 0.7087
O 0.2100 0.2114 0.4182
O 0.2100 0.2886 0.9182
O 0.2376 0.5667 0.4088
O 0.2376 0.9333 0.9088
O 0.2709 0.0876 0.0349
O 0.2709 0.4124 0.5349
O 0.7291 0.5876 0.4651
O 0.7291 0.9124 0.9651
O 0.7624 0.0667 0.0912
O 0.7624 0.4333 0.5912
O 0.7900 0.7114 0.0818
O 0.7900 0.7886 0.5818
O 0.8939 0.0612 0.2913
O 0.8939 0.4388 0.7913

No. 2
Theoretical PXRD pattern of Sr3MgCo2Cl2O5 for Cu Ka, from a cell relaxed with GGA+U.
No peak broadening, texture or thermal motion is included.

The 10 most intense peaks (2θ from 10° to 80°), in order of rising 2θ:
- 2θ = 12.43°, I = 100
- 2θ = 26.73°, I = 36
- 2θ = 31.69°, I = 99
- 2θ = 35.80°, I = 92
- 2θ = 36.64°, I = 99
- 2θ = 37.05°, I = 24
- 2θ = 44.02°, I = 42
- 2θ = 46.80°, I = 34
- 2θ = 58.57°, I = 47
- 2θ = 60.29°, I = 37

Crystal structure
Lattice parameters (Å, degrees): 14.5156 14.5156 14.5156 164.63 163.70 22.47
Positions (direct):
Sr 0.0000 0.0000 0.0000
Sr 0.1178 0.1178 0.0000
Sr 0.3367 0.3367 0.0000
Mg 0.7105 0.2105 0.5000
Co 0.5591 0.5591 0.0000
Co 0.7808 0.7808 0.0000
Cl 0.4683 0.4683 0.0000
Cl 0.8900 0.8900 0.0000
O 0.0610 0.5610 0.5000
O 0.2879 0.7879 0.5000
O 0.5679 0.0679 0.5000
O 0.6769 0.6769 0.0000
O 0.7786 0.2786 0.5000

No. 3
Theoretical PXRD pattern of Sr3MgCo2Cl2O5 for Cu Ka, from a cell relaxed with GGA+U.
No peak broadening, texture or thermal motion is included.

The 10 most intense peaks (2θ from 10° to 80°), in order of rising 2θ:
- 2θ = 28.53°, I = 84
- 2θ = 31.76°, I = 100
- 2θ = 32.18°, I = 76
- 2θ = 32.31°, I = 25
- 2θ = 33.11°, I = 46
- 2θ = 36.35°, I = 58
- 2θ = 40.10°, I = 56
- 2θ = 50.48°, I = 32
- 2θ = 52.32°, I = 36
- 2θ = 55.21°, I = 42

Crystal structure
Lattice parameters (Å, degrees): 15.5120 15.5120 15.5120 166.62 163.33 21.44
Positions (direct):
Sr 0.0000 0.0000 0.0000
Sr 0.1163 0.1163 0.0000
Sr 0.2326 0.2326 0.0000
Mg 0.3615 0.8615 0.5000
Co 0.5535 0.5535 0.0000
Co 0.6790 0.6790 0.0000
Cl 0.4154 0.4154 0.0000
Cl 0.8279 0.8279 0.0000
O 0.0507 0.5507 0.5000
O 0.1816 0.6816 0.5000
O 0.5240 0.0240 0.5000
O 0.6162 0.6162 0.0000
O 0.7082 0.2082 0.5000